1.
# LiPbF5
Calculated X-ray diffraction stick pattern, Cu Ka. Input: a cell relaxed with GGA-PBE.
Lines closer than 0.1° are merged.

Crystal structure
```
LiPbF5
1.0
5.684 0.000 0.000
-0.784 5.631 0.000
-2.440 -2.820 7.237
Li Pb F
2 2 10
Direct
0.085 0.335 0.250
0.915 0.665 0.750
0.500 0.000 0.500
0.500 0.500 0.000
0.184 0.084 0.346
0.200 0.323 0.050
0.262 0.661 0.845
0.272 0.650 0.450
0.416 0.166 0.750
0.584 0.834 0.250
0.728 0.350 0.550
0.738 0.339 0.155
0.800 0.677 0.950
0.816 0.916 0.654
```

Largest 10 diffraction maxima, by angle, 10° ≤ 2θ ≤ 90°:
| Position (°2θ) | d [Å] | I/Imax |
| --- | --- | --- |
| 16.9 | 5.249 | 100 |
| 23.8 | 3.732 | 24 |
| 24.1 | 3.689 | 47 |
| 24.3 | 3.662 | 53 |
| 24.6 | 3.619 | 19 |
| 34.2 | 2.624 | 33 |
| 38.2 | 2.358 | 15 |
| 38.5 | 2.337 | 17 |
| 42.2 | 2.142 | 18 |
| 49.8 | 1.832 | 14 |

2.
# Li2PbF6
Calculated X-ray diffraction stick pattern, Cu Ka. Input: a cell relaxed with GGA-PBE.
Lines closer than 0.1° are merged.

Crystal structure
```
Li2PbF6
1.0
2.699 1.558 4.725
-2.699 1.558 4.725
0.000 -3.117 4.725
Li Pb F
2 1 6
Direct
0.000 0.000 0.000
0.199 0.199 0.199
0.688 0.688 0.688
0.060 0.828 0.405
0.279 0.600 0.935
0.405 0.060 0.828
0.600 0.935 0.279
0.828 0.405 0.060
0.935 0.279 0.600
```

Largest 10 diffraction maxima, by angle, 10° ≤ 2θ ≤ 90°:
| Position (°2θ) | d [Å] | I/Imax |
| --- | --- | --- |
| 18.8 | 4.725 | 47 |
| 20.0 | 4.440 | 100 |
| 22.8 | 3.903 | 95 |
| 31.7 | 2.824 | 35 |
| 33.2 | 2.699 | 20 |
| 37.1 | 2.424 | 24 |
| 38.4 | 2.344 | 53 |
| 39.1 | 2.307 | 21 |
| 51.4 | 1.778 | 32 |
| 52.2 | 1.754 | 19 |